[1]
Ta17Co12: theoretical powder diffractogram (copper Kα), based on a cell relaxed with PBE.
Lines closer than 0.1° are merged.

Peak list (12 most intense, 2θ = 10–90°, by angle)
| 2θ (°) | Rel. int. |
| --- | --- |
| 22.70 | 10 |
| 32.31 | 18 |
| 34.98 | 27 |
| 37.49 | 15 |
| 39.85 | 100 |
| 44.27 | 41 |
| 46.35 | 13 |
| 48.36 | 22 |
| 59.36 | 11 |
| 69.22 | 29 |
| 72.36 | 17 |
| 78.47 | 16 |

Cell and atoms:
```
Ta17Co12
1.0
-4.798 4.798 4.798
4.798 -4.798 4.798
4.798 4.798 -4.798
Ta Co
17 12
Direct
0.000 0.000 0.000
0.000 0.000 0.638
0.000 0.202 0.401
0.000 0.401 0.202
0.000 0.638 0.000
0.198 0.798 0.798
0.202 0.000 0.401
0.202 0.401 0.000
0.362 0.362 0.362
0.401 0.000 0.202
0.401 0.202 0.000
0.599 0.599 0.802
0.599 0.802 0.599
0.638 0.000 0.000
0.798 0.198 0.798
0.798 0.798 0.198
0.802 0.599 0.599
0.000 0.417 0.691
0.000 0.691 0.417
0.274 0.583 0.583
0.309 0.309 0.726
0.309 0.726 0.309
0.417 0.000 0.691
0.417 0.691 0.000
0.583 0.274 0.583
0.583 0.583 0.274
0.691 0.000 0.417
0.691 0.417 0.000
0.726 0.309 0.309
```

***

[2]
In8Pd2Se: theoretical powder diffractogram (copper Kα), based on a cell relaxed with PBE.
Lines closer than 0.1° are merged.

Peak list (12 most intense, 2θ = 10–90°, by angle)
| 2θ (°) | Rel. int. |
| --- | --- |
| 27.63 | 19 |
| 30.12 | 24 |
| 32.29 | 100 |
| 32.64 | 32 |
| 32.86 | 19 |
| 36.39 | 36 |
| 37.48 | 39 |
| 40.38 | 54 |
| 44.57 | 21 |
| 45.39 | 24 |
| 52.39 | 20 |
| 55.25 | 21 |

Cell and atoms:
```
In8Pd2Se
1.0
10.178 0.000 0.000
0.000 10.178 0.000
0.000 0.000 10.488
In Pd Se
32 8 4
Direct
0.000 0.000 0.163
0.000 0.000 0.837
0.052 0.301 0.312
0.052 0.301 0.688
0.097 0.903 0.500
0.191 0.809 0.000
0.196 0.196 0.000
0.199 0.552 0.188
0.199 0.552 0.812
0.301 0.052 0.312
0.301 0.052 0.688
0.304 0.696 0.500
0.309 0.309 0.500
0.403 0.403 0.000
0.448 0.801 0.188
0.448 0.801 0.812
0.500 0.500 0.337
0.500 0.500 0.663
0.552 0.199 0.188
0.552 0.199 0.812
0.597 0.597 0.000
0.691 0.691 0.500
0.696 0.304 0.500
0.699 0.948 0.312
0.699 0.948 0.688
0.801 0.448 0.188
0.801 0.448 0.812
0.804 0.804 0.000
0.809 0.191 0.000
0.903 0.097 0.500
0.948 0.699 0.312
0.948 0.699 0.688
0.187 0.813 0.261
0.187 0.813 0.739
0.313 0.313 0.239
0.313 0.313 0.761
0.687 0.687 0.239
0.687 0.687 0.761
0.813 0.187 0.261
0.813 0.187 0.739
0.000 0.500 0.000
0.000 0.500 0.500
0.500 0.000 0.000
0.500 0.000 0.500
```

***

[3]
NdTeAsO: theoretical powder diffractogram (copper Kα), based on a cell relaxed with PBE.
Lines closer than 0.1° are merged.

Peak list (12 most intense, 2θ = 10–90°, by angle)
| 2θ (°) | Rel. int. |
| --- | --- |
| 16.83 | 27 |
| 27.27 | 85 |
| 31.49 | 100 |
| 33.35 | 80 |
| 34.86 | 57 |
| 42.92 | 21 |
| 43.38 | 61 |
| 46.21 | 31 |
| 52.00 | 29 |
| 55.79 | 37 |
| 61.45 | 27 |
| 62.67 | 28 |

Cell and atoms:
```
NdTeAsO
1.0
4.172 0.000 0.000
0.000 4.172 0.000
0.000 0.000 10.535
Nd Te As O
2 2 2 2
Direct
0.250 0.250 0.106
0.750 0.750 0.894
0.250 0.750 0.500
0.750 0.250 0.500
0.250 0.250 0.729
0.750 0.750 0.271
0.250 0.750 0.000
0.750 0.250 0.000
```

***

[4]
Ta2TcW: theoretical powder diffractogram (copper Kα), based on a cell relaxed with PBE.
Lines closer than 0.1° are merged.

Peak list (11 most intense, 2θ = 10–90°, by angle)
| 2θ (°) | Rel. int. |
| --- | --- |
| 24.01 | 3 |
| 27.79 | 2 |
| 39.71 | 100 |
| 46.93 | 2 |
| 49.16 | 1 |
| 57.41 | 17 |
| 63.12 | 1 |
| 64.95 | 1 |
| 72.06 | 35 |
| 77.20 | 1 |
| 85.56 | 11 |

Cell and atoms:
```
Ta2TcW
1.0
0.000 3.210 3.210
3.210 0.000 3.210
3.210 3.210 0.000
Ta Tc W
2 1 1
Direct
0.000 0.000 0.000
0.250 0.250 0.250
0.500 0.500 0.500
0.750 0.750 0.750
```

***

[5]
Bi2Pt5: theoretical powder diffractogram (copper Kα), based on a cell relaxed with PBE.
Lines closer than 0.1° are merged.

Peak list (12 most intense, 2θ = 10–90°, by angle)
| 2θ (°) | Rel. int. |
| --- | --- |
| 34.94 | 21 |
| 36.14 | 100 |
| 37.63 | 38 |
| 41.37 | 27 |
| 43.58 | 56 |
| 45.98 | 27 |
| 59.61 | 24 |
| 59.72 | 14 |
| 66.94 | 13 |
| 71.73 | 14 |
| 75.14 | 22 |
| 77.70 | 14 |

Cell and atoms:
```
Bi2Pt5
1.0
3.102 0.000 0.000
-1.551 2.686 0.000
0.000 0.000 26.192
Bi Pt
2 5
Direct
0.000 0.000 0.245
0.000 0.000 0.755
0.000 0.000 0.000
0.333 0.667 0.159
0.333 0.667 0.922
0.667 0.333 0.078
0.667 0.333 0.841
```

***

[6]
Gd2ErIn3Cu3: theoretical powder diffractogram (copper Kα), based on a cell relaxed with PBE.
Lines closer than 0.1° are merged.

Peak list (12 most intense, 2θ = 10–90°, by angle)
| 2θ (°) | Rel. int. |
| --- | --- |
| 33.12 | 100 |
| 35.94 | 74 |
| 36.40 | 51 |
| 41.49 | 24 |
| 43.45 | 11 |
| 46.80 | 20 |
| 50.39 | 14 |
| 56.03 | 22 |
| 60.70 | 23 |
| 64.30 | 13 |
| 66.95 | 25 |
| 71.21 | 10 |

Cell and atoms:
```
Gd2ErIn3Cu3
1.0
3.882 0.000 0.000
0.000 6.526 3.772
0.000 -6.526 3.772
Gd Er In Cu
2 1 3 3
Direct
0.000 0.205 0.795
0.000 0.795 0.205
0.000 0.385 0.385
0.500 0.051 0.051
0.500 0.539 0.793
0.500 0.793 0.539
0.000 0.793 0.793
0.500 0.130 0.460
0.500 0.460 0.130
```